Li2FeF4: simulated XRD peak list (Cu Kα X-rays), based on a PBE+U-relaxed structure.
Lines closer than 0.1° are merged.

```
Li2FeF4
1.0
5.084 -2.869 0.000
5.084 2.869 0.000
-0.316 0.000 5.400
Li Fe F
4 2 8
Direct
0.062 0.342 0.285
0.342 0.062 0.785
0.658 0.938 0.215
0.938 0.658 0.715
0.354 0.646 0.250
0.646 0.354 0.750
0.003 0.286 0.618
0.268 0.496 0.909
0.286 0.003 0.118
0.496 0.268 0.409
0.504 0.732 0.591
0.714 0.997 0.882
0.732 0.504 0.091
0.997 0.714 0.382
```

Top 6 peaks for 2θ = 10–90°, in order of falling intensity:
d = 4.995 Å, 17.76 deg, rel. 100.0; d = 2.292 Å, 39.31 deg, rel. 97.5; d = 3.615 Å, 24.62 deg, rel. 72.6; d = 5.075 Å, 17.48 deg, rel. 59.4; d = 2.328 Å, 38.68 deg, rel. 57.8; d = 3.721 Å, 23.92 deg, rel. 51.4

MgMnCo3O8: simulated XRD peak list (Cu Kα X-rays), based on a PBE+U-relaxed structure.
Lines closer than 0.1° are merged.

```
MgMnCo3O8
1.0
5.694 0.000 0.000
-0.057 5.742 0.000
-2.616 -2.794 4.365
Mg Mn Co O
1 1 3 8
Direct
0.000 0.000 0.000
0.500 0.500 0.000
0.000 0.000 0.500
0.000 0.500 0.000
0.000 0.500 0.500
0.189 0.712 0.433
0.200 0.238 0.473
0.218 0.703 0.943
0.233 0.274 0.989
0.767 0.726 0.011
0.782 0.297 0.057
0.800 0.762 0.527
0.811 0.288 0.567
```

Top 6 peaks for 2θ = 10–90°, in order of falling intensity:
d = 4.870 Å, 18.22 deg, rel. 100.0; d = 2.183 Å, 41.37 deg, rel. 44.1; d = 2.031 Å, 44.61 deg, rel. 36.6; d = 2.009 Å, 45.12 deg, rel. 35.6; d = 4.836 Å, 18.34 deg, rel. 34.9; d = 4.758 Å, 18.65 deg, rel. 26.4

Ba3MgV2O8: simulated XRD peak list (Cu Kα X-rays), based on a PBE+U-relaxed structure.
Lines closer than 0.1° are merged.

```
Ba3MgV2O8
1.0
5.693 -3.043 0.000
5.693 3.043 0.000
-2.811 0.000 7.041
Ba Mg V O
3 1 2 8
Direct
0.000 0.000 0.000
0.087 0.087 0.539
0.744 0.744 0.348
0.390 0.390 0.848
0.340 0.340 0.202
0.569 0.569 0.745
0.190 0.684 0.259
0.215 0.215 0.296
0.225 0.679 0.692
0.253 0.253 0.935
0.583 0.583 0.003
0.679 0.225 0.692
0.684 0.190 0.259
0.698 0.698 0.671
```

Top 6 peaks for 2θ = 10–90°, in order of falling intensity:
d = 3.046 Å, 29.32 deg, rel. 100.0; d = 3.216 Å, 27.74 deg, rel. 96.9; d = 3.198 Å, 27.90 deg, rel. 69.2; d = 2.330 Å, 38.64 deg, rel. 59.5; d = 3.631 Å, 24.52 deg, rel. 53.9; d = 5.279 Å, 16.80 deg, rel. 41.9

Li7Eu3Mo8O32: simulated XRD peak list (Cu Kα X-rays), based on a PBE+U-relaxed structure.
Lines closer than 0.1° are merged.

```
Li7Eu3Mo8O32
1.0
6.918 0.000 0.000
2.655 9.744 0.000
1.165 4.199 9.953
Li Eu Mo O
7 3 8 32
Direct
0.000 0.000 0.000
0.052 0.352 0.870
0.106 0.706 0.737
0.280 0.897 0.432
0.500 0.499 0.000
0.552 0.852 0.869
0.605 0.204 0.740
0.327 0.302 0.310
0.778 0.397 0.432
0.823 0.808 0.312
0.168 0.080 0.671
0.211 0.495 0.552
0.393 0.711 0.190
0.437 0.121 0.069
0.666 0.584 0.671
0.710 0.994 0.551
0.897 0.208 0.189
0.937 0.622 0.068
0.107 0.609 0.938
0.111 0.252 0.511
0.135 0.153 0.273
0.159 0.918 0.647
0.191 0.155 0.008
0.200 0.765 0.296
0.237 0.343 0.709
0.251 0.648 0.578
0.354 0.555 0.162
0.367 0.862 0.031
0.405 0.436 0.443
0.413 0.048 0.733
0.444 0.287 0.096
0.469 0.054 0.467
0.495 0.955 0.224
0.496 0.596 0.802
0.608 0.109 0.938
0.613 0.749 0.514
0.638 0.651 0.275
0.660 0.417 0.644
0.692 0.655 0.007
0.701 0.268 0.298
0.736 0.842 0.709
0.751 0.150 0.578
0.854 0.054 0.161
0.869 0.361 0.032
0.900 0.937 0.443
0.913 0.549 0.732
0.944 0.787 0.095
0.967 0.553 0.465
0.993 0.454 0.227
0.998 0.095 0.802
```

Top 6 peaks for 2θ = 10–90°, in order of falling intensity:
d = 3.048 Å, 29.31 deg, rel. 100.0; d = 3.166 Å, 28.19 deg, rel. 93.2; d = 3.195 Å, 27.93 deg, rel. 80.7; d = 3.601 Å, 24.72 deg, rel. 75.2; d = 2.831 Å, 31.61 deg, rel. 35.0; d = 1.583 Å, 58.27 deg, rel. 29.2

KCaFeBiO6: simulated XRD peak list (Cu Kα X-rays), based on a PBE+U-relaxed structure.
Lines closer than 0.1° are merged.

```
KCaFeBiO6
1.0
0.000 4.104 4.104
4.104 0.000 4.104
4.104 4.104 0.000
K Ca Fe Bi O
1 1 1 1 6
Direct
0.000 0.000 0.000
0.500 0.500 0.500
0.750 0.750 0.750
0.250 0.250 0.250
0.507 0.507 0.993
0.507 0.993 0.507
0.507 0.993 0.993
0.993 0.507 0.507
0.993 0.507 0.993
0.993 0.993 0.507
```

Top 6 peaks for 2θ = 10–90°, in order of falling intensity:
d = 2.902 Å, 30.81 deg, rel. 100.0; d = 4.104 Å, 21.66 deg, rel. 55.6; d = 4.739 Å, 18.73 deg, rel. 42.7; d = 1.675 Å, 54.80 deg, rel. 39.5; d = 2.052 Å, 44.14 deg, rel. 36.0; d = 2.475 Å, 36.30 deg, rel. 29.0

What did the second record say?
MgMnCo3O8: simulated XRD peak list (Cu Kα X-rays), based on a PBE+U-relaxed structure.
Lines closer than 0.1° are merged.

```
MgMnCo3O8
1.0
5.694 0.000 0.000
-0.057 5.742 0.000
-2.616 -2.794 4.365
Mg Mn Co O
1 1 3 8
Direct
0.000 0.000 0.000
0.500 0.500 0.000
0.000 0.000 0.500
0.000 0.500 0.000
0.000 0.500 0.500
0.189 0.712 0.433
0.200 0.238 0.473
0.218 0.703 0.943
0.233 0.274 0.989
0.767 0.726 0.011
0.782 0.297 0.057
0.800 0.762 0.527
0.811 0.288 0.567
```

Top 6 peaks for 2θ = 10–90°, in order of falling intensity:
d = 4.870 Å, 18.22 deg, rel. 100.0; d = 2.183 Å, 41.37 deg, rel. 44.1; d = 2.031 Å, 44.61 deg, rel. 36.6; d = 2.009 Å, 45.12 deg, rel. 35.6; d = 4.836 Å, 18.34 deg, rel. 34.9; d = 4.758 Å, 18.65 deg, rel. 26.4